# Na2Be2VO6
Calculated powder X-ray diffraction pattern, Cu Kα X-rays. Input: a cell relaxed with GGA+U.
Kinematic intensities with the Lorentz-polarization factor, no thermal factor.

Main lines, most intense first (2θ from 10° to 80°):
two_theta, I/Imax, (hkl)
14.8, 100, 0 0 1
24.7, 80, 0 1 1
36.0, 53, 1 0 2
43.0, 49, 2 0 1
50.7, 29, 2 0 2
34.6, 25, 1 1 0
19.8, 23, 1 0 0
58.2, 19, 1 1 3
62.9, 19, 3 -1 2
37.8, 17, 2 -1 1

Structure:
```
data_Na2Be2VO6
_symmetry_space_group_name_H-M 'P -3'
_symmetry_Int_Tables_number 147
_symmetry_space_group_name_Hall '-P 3'
_cell_length_a 5.1903
_cell_length_b 5.1903
_cell_length_c 6.0030
_cell_angle_alpha 90.00
_cell_angle_beta 90.00
_cell_angle_gamma 120.00
loop_
_atom_site_label
_atom_site_type_symbol
_atom_site_fract_x
_atom_site_fract_y
_atom_site_fract_z
_atom_site_occupancy
Na1 Na 0.3333 0.6667 0.2916 1
Be1 Be 0.3333 0.6667 0.8182 1
V1 V 0.0000 0.0000 0.0000 1
O1 O 0.1098 0.7753 0.8149 1
```